# 1
Diffraction record for Sr2PmPuN4. The X-ray powder pattern is computed, not measured: it uses a DFT-relaxed cell (PBE, Alexandria) and copper Kα.
Intensities are scaled so that the largest is 1000.

Structural model:
Lattice parameters (Å, degrees): 6.2003 3.6305 6.3457 90.00 108.77 90.00
Positions (direct):
Sr: 0.0000 0.0000 0.0000
Sr: 0.5000 0.5000 0.0000
Pm: 0.0000 0.5000 0.5000
Pu: 0.5000 0.0000 0.5000
N: 0.2715 0.0000 0.6996
N: 0.2751 0.5000 0.2900
N: 0.7249 0.5000 0.7100
N: 0.7285 0.0000 0.3004

Most intense lines, 5 to 70 degrees two-theta, by intensity:
2theta  d (Å)  Rel. int.
34.84  2.575  1000
30.22  2.957  992
29.74  3.004  529
49.92  1.827  510
14.74  6.008  506
30.45  2.935  485
35.21  2.549  473
50.84  1.796  330



# 2
Diffraction record for Pm3Pu3WN8. The X-ray powder pattern is computed, not measured: it uses a DFT-relaxed cell (PBE, Alexandria) and copper Kα.
Intensities are scaled so that the largest is 1000.

Structural model:
Lattice parameters (Å, degrees): 6.9551 6.9551 6.9551 59.07 59.07 59.07
Positions (direct):
Pm: 0.0000 0.5000 0.5000
Pm: 0.5000 0.0000 0.5000
Pm: 0.5000 0.5000 0.0000
Pu: 0.0000 0.0000 0.5000
Pu: 0.0000 0.5000 0.0000
Pu: 0.5000 0.0000 0.0000
W: 0.5000 0.5000 0.5000
N: 0.2442 0.2442 0.2442
N: 0.2699 0.7167 0.7167
N: 0.2833 0.2833 0.7301
N: 0.2833 0.7301 0.2833
N: 0.7167 0.2699 0.7167
N: 0.7167 0.7167 0.2699
N: 0.7301 0.2833 0.2833
N: 0.7558 0.7558 0.7558

Most intense lines, 5 to 70 degrees two-theta, by intensity:
2theta  d (Å)  Rel. int.
31.90  2.806  1000
36.82  2.441  932
31.28  2.859  355
52.65  1.738  325
53.45  1.714  317
63.25  1.470  311
15.50  5.718  269
62.53  1.485  165